The following is a calculated powder X-ray diffraction pattern of Mn4Co7As6. It was derived from a cell relaxed with GGA-PBE, using Cu Kα, 1.54184 Å.
Kinematic intensities with the Lorentz-polarization factor, no thermal factor.

```
17
Lattice="-3.8258 3.8258 3.8258 3.8258 -3.8258 3.8258 3.8258 3.8258 -3.8258" Properties=species:S:1:pos:R:3 pbc="T T T"
Mn 1.9129 1.9129 -1.9129
Mn 1.9129 -1.9129 1.9129
Mn -1.9129 1.9129 1.9129
Mn 1.9129 1.9129 1.9129
Co 0.0000 0.0000 0.0000
Co 3.8258 1.9129 0.0000
Co 3.8258 0.0000 1.9129
Co 1.9129 3.8258 0.0000
Co 1.9129 0.0000 3.8258
Co 0.0000 3.8258 1.9129
Co 0.0000 1.9129 3.8258
As 2.3846 0.0000 0.0000
As 5.2670 0.0000 0.0000
As 0.0000 2.3846 0.0000
As 0.0000 0.0000 2.3846
As 0.0000 5.2670 0.0000
As 0.0000 0.0000 5.2670
```

Principal peaks in the range 2θ = 10–90°, sorted by position:
| Position (°2θ) | I/Imax |
| --- | --- |
| 23.3 | 11 |
| 37.2 | 16 |
| 40.9 | 100 |
| 44.3 | 16 |
| 47.5 | 60 |
| 50.6 | 22 |
| 56.4 | 19 |
| 69.5 | 25 |
| 83.9 | 18 |
| 86.2 | 12 |